Diffraction record for BP5Pb6O20. The powder diffractogram is calculated, not measured: it uses DFT lattice parameters and positions (PBE) and Cu Ka.
Peak positions follow from Bragg's law for the DFT cell and can differ from measured ones.

Top 10 peaks for 10 to 90 degrees two-theta, low angle first:
2θ 19.84, I 100, hkl 1 1 1; 2θ 25.07, I 34, hkl 1 1 2; 2θ 26.44, I 52, hkl 0 0 3; 2θ 26.77, I 66, hkl 2 0 1; 2θ 29.66, I 60, hkl 1 2 1; 2θ 30.91, I 76, hkl 2 0 2; 2θ 39.98, I 24, hkl 1 1 4; 2θ 45.22, I 21, hkl 2 2 3; 2θ 46.00, I 26, hkl 1 2 4; 2θ 48.96, I 20, hkl 3 1 3

Cell and atoms:
```
BP5Pb6O20
1.0
7.0552 0.0000 0.0000
0.0000 7.0552 0.0000
0.0000 0.0000 10.1133
B P Pb O
1 5 6 20
direct
0.0000 0.0000 0.0000 B
0.1692 0.7658 0.1960 P
0.2342 0.1692 0.8040 P
0.5000 0.5000 0.5000 P
0.7658 0.8308 0.8040 P
0.8308 0.2342 0.1960 P
0.0000 0.5000 0.4787 Pb
0.2706 0.6627 0.8146 Pb
0.3373 0.2706 0.1854 Pb
0.5000 0.0000 0.5213 Pb
0.6627 0.7294 0.1854 Pb
0.7294 0.3373 0.8146 Pb
0.0197 0.7038 0.2988 O
0.0327 0.8262 0.0762 O
0.0726 0.2992 0.7512 O
0.1738 0.0327 0.9238 O
0.2954 0.6054 0.1394 O
0.2962 0.0197 0.7012 O
0.2992 0.9274 0.2488 O
0.3518 0.3889 0.4153 O
0.3889 0.6482 0.5847 O
0.3946 0.2954 0.8606 O
0.6054 0.7046 0.8606 O
0.6111 0.3518 0.5847 O
0.6482 0.6111 0.4153 O
0.7008 0.0726 0.2488 O
0.7038 0.9803 0.7012 O
0.7046 0.3946 0.1394 O
0.8262 0.9673 0.9238 O
0.9274 0.7008 0.7512 O
0.9673 0.1738 0.0762 O
0.9803 0.2962 0.2988 O
```